(1)
Starting from the GGA-PBE geometry in Alexandria, the X-ray powder pattern of HfInNi5 was computed for copper Kα.
Kinematic intensities with the Lorentz-polarization factor, no thermal factor.

Structural model:
abc: 7.8900 4.7230 10.2411
angles: 90.00 90.00 90.00
Atoms (fractional coordinates):
Hf: 0.2432 0.2500 0.0678
Hf: 0.2568 0.7500 0.5678
Hf: 0.7432 0.2500 0.4322
Hf: 0.7568 0.7500 0.9322
In: 0.1391 0.2500 0.3641
In: 0.3609 0.7500 0.8641
In: 0.6391 0.2500 0.1359
In: 0.8609 0.7500 0.6359
Ni: 0.0376 0.2500 0.5975
Ni: 0.0651 0.5020 0.8091
Ni: 0.0651 0.9980 0.8091
Ni: 0.0813 0.7500 0.0154
Ni: 0.1943 0.7500 0.2329
Ni: 0.3057 0.2500 0.7329
Ni: 0.4187 0.2500 0.5154
Ni: 0.4349 0.0020 0.3091
Ni: 0.4349 0.4980 0.3091
Ni: 0.4624 0.7500 0.0975
Ni: 0.5376 0.2500 0.9025
Ni: 0.5651 0.5020 0.6909
Ni: 0.5651 0.9980 0.6909
Ni: 0.5813 0.7500 0.4846
Ni: 0.6943 0.7500 0.2671
Ni: 0.8057 0.2500 0.7671
Ni: 0.9187 0.2500 0.9846
Ni: 0.9349 0.0020 0.1909
Ni: 0.9349 0.4980 0.1909
Ni: 0.9624 0.7500 0.4025

Main lines, most intense first (10° ≤ 2θ ≤ 90°):
d/Å  2theta  Rel. int.  hkl
2.265  39.80  100  2 1 3
2.242  40.22  98  3 1 1
2.767  32.36  46  0 1 3
2.435  36.91  44  1 0 4
2.362  38.11  42  0 2 0
1.886  48.26  38  1 2 3

---

(2)
Starting from the GGA-PBE geometry in Alexandria, the X-ray powder pattern of PuMgO4 was computed for copper Kα.
Kinematic intensities with the Lorentz-polarization factor, no thermal factor.

Structural model:
abc: 5.1929 4.9366 6.0395
angles: 90.00 90.00 90.00
Atoms (fractional coordinates):
Pu: 0.0000 0.0000 0.0000
Pu: 0.0000 0.5000 0.5000
Mg: 0.5000 0.0000 0.6849
Mg: 0.5000 0.5000 0.1849
O: 0.1781 0.2286 0.7393
O: 0.1781 0.2714 0.2393
O: 0.3076 0.7162 0.4803
O: 0.3076 0.7838 0.9803
O: 0.6924 0.2162 0.9803
O: 0.6924 0.2838 0.4803
O: 0.8219 0.7286 0.2393
O: 0.8219 0.7714 0.7393

Main lines, most intense first (10° ≤ 2θ ≤ 90°):
d/Å  2theta  Rel. int.  hkl
3.078  29.01  100  1 1 1
3.822  23.27  79  0 1 1
5.193  17.07  65  1 0 0
2.148  42.07  31  2 1 1
2.610  34.35  28  1 0 2
1.793  50.92  28  1 2 2